Computed powder diffractogram of Co5CuS8 for Cu Kα, 1.54184 Å, from a cell relaxed with GGA-PBE.
Neutral-atom scattering factors, no anomalous dispersion.

Atomic structure:
```
Co5CuS8
1.0
0.000 4.693 4.693
4.693 0.000 4.693
4.693 4.693 0.000
Co Cu S
5 1 8
Direct
0.000 0.000 0.000
0.375 0.375 0.375
0.375 0.375 0.874
0.375 0.874 0.375
0.874 0.375 0.375
0.750 0.750 0.750
0.133 0.133 0.133
0.133 0.133 0.602
0.133 0.602 0.133
0.163 0.612 0.612
0.602 0.133 0.133
0.612 0.163 0.612
0.612 0.612 0.163
0.612 0.612 0.612
```

Peak list (6 most intense, 5° ≤ 2θ ≤ 70°, low angle first)
2θ/deg  I/Imax
16.36  14
26.87  33
31.61  100
38.36  45
50.53  47
55.37  81